1.
The following is a simulated powder diffractogram of NbV12W6. It was derived from a PBE-relaxed structure, using Cu Kα, 1.54184 Å.
Neutral-atom scattering factors, no anomalous dispersion.

Cell and atoms:
```
NbV12W6
1.0
5.101 0.000 0.000
0.508 5.093 0.000
2.377 1.114 10.673
Nb V W
1 12 6
Cartesian
0.000 0.000 0.000
1.906 1.649 5.605
1.450 2.200 0.565
3.331 3.881 6.151
4.287 4.678 8.974
2.836 4.395 1.134
3.768 5.221 3.972
4.217 0.986 6.701
5.149 1.812 9.539
3.697 1.528 1.699
4.654 2.326 4.522
6.535 4.007 10.108
6.079 4.558 5.069
0.939 0.816 2.845
2.872 2.515 8.399
2.366 3.020 3.411
5.619 3.187 7.262
5.113 3.691 2.275
7.045 5.391 7.828
```

Largest 6 diffraction maxima, in order of falling intensity, 2θ = 10–80°:
Position (°2θ)  I_rel
41.38  100
41.58  99
16.61  54
41.25  50
41.70  49
60.10  49

---

2.
The following is a simulated powder diffractogram of ZrTi2Rh4. It was derived from a PBE-relaxed structure, using Cu Kα, 1.54184 Å.
Neutral-atom scattering factors, no anomalous dispersion.

Cell and atoms:
```
ZrTi2Rh4
1.0
-2.383 2.383 6.265
2.383 -2.383 6.265
2.383 2.383 -6.265
Zr Ti Rh
1 2 4
Cartesian
0.000 0.000 0.000
0.000 0.000 4.754
0.000 0.000 7.777
2.383 0.000 0.000
0.000 0.000 2.633
0.000 2.383 0.000
0.000 0.000 9.898
```

Largest 6 diffraction maxima, in order of falling intensity, 2θ = 10–80°:
Position (°2θ)  I_rel
37.74  100
30.11  89
40.67  59
56.69  43
54.44  33
28.49  30

---

3.
The following is a simulated powder diffractogram of CsAcGaS4. It was derived from a PBE-relaxed structure, using Cu Kα, 1.54184 Å.
Neutral-atom scattering factors, no anomalous dispersion.

Cell and atoms:
```
CsAcGaS4
1.0
7.370 0.000 0.000
0.000 5.902 0.000
-2.348 0.000 9.814
Cs Ac Ga S
2 2 2 8
Cartesian
0.745 1.476 4.546
4.276 4.427 5.268
-0.407 1.476 9.250
5.429 4.427 0.564
1.437 4.427 1.710
3.585 1.476 8.104
-0.322 4.427 3.072
-1.420 4.427 9.289
3.130 0.101 2.016
3.130 2.850 2.016
1.891 3.052 7.798
1.891 5.802 7.798
6.441 1.476 0.525
5.343 1.476 6.742
```

Largest 6 diffraction maxima, in order of falling intensity, 2θ = 10–80°:
Position (°2θ)  I_rel
19.48  100
28.64  75
24.62  74
39.56  55
27.19  50
30.29  49

---

4.
The following is a simulated powder diffractogram of Mg3Pa3PdN8. It was derived from a PBE-relaxed structure, using Cu Kα, 1.54184 Å.
Neutral-atom scattering factors, no anomalous dispersion.

Cell and atoms:
```
Mg3Pa3PdN8
1.0
5.516 -3.387 0.000
5.516 3.387 0.000
-3.459 0.000 5.500
Mg Pa Pd N
3 3 1 8
Cartesian
0.000 0.000 0.000
1.028 1.694 2.750
1.028 -1.694 2.750
2.758 1.694 0.000
2.758 -1.694 0.000
3.786 0.000 2.750
-1.729 0.000 2.750
0.037 0.000 4.112
4.554 1.698 1.407
1.891 0.000 1.374
3.019 1.698 4.093
4.554 -1.698 1.407
5.681 0.000 4.126
3.019 -1.698 4.093
7.536 0.000 1.388
```

Largest 6 diffraction maxima, in order of falling intensity, 2θ = 10–80°:
Position (°2θ)  I_rel
17.16  100
31.01  70
38.44  50
32.66  47
54.13  27
38.56  25

---

5.
The following is a simulated powder diffractogram of LiCaBiTe3. It was derived from a PBE-relaxed structure, using Cu Kα, 1.54184 Å.
Neutral-atom scattering factors, no anomalous dispersion.

Cell and atoms:
```
LiCaBiTe3
1.0
9.221 0.000 0.000
0.000 4.415 0.000
-2.067 0.000 9.379
Li Ca Bi Te
2 2 2 6
Cartesian
0.604 1.104 0.824
6.550 3.311 8.556
0.162 1.104 6.974
6.992 3.311 2.405
2.326 3.311 3.182
4.828 1.104 6.197
0.111 1.104 3.620
-0.023 3.311 9.350
2.534 3.311 6.282
4.620 1.104 3.098
7.177 1.104 0.029
7.043 3.311 5.759
```

Largest 6 diffraction maxima, in order of falling intensity, 2θ = 10–80°:
Position (°2θ)  I_rel
28.50  100
28.31  40
34.82  31
22.43  29
12.07  25
36.67  21

---

6.
The following is a simulated powder diffractogram of Ba2SiPb2Au4. It was derived from a PBE-relaxed structure, using Cu Kα, 1.54184 Å.
Neutral-atom scattering factors, no anomalous dispersion.

Cell and atoms:
```
Ba2SiPb2Au4
1.0
-3.497 3.497 5.081
3.497 -3.497 5.081
3.497 3.497 -5.081
Ba Si Pb Au
2 1 2 4
Cartesian
3.497 0.000 2.541
0.000 3.497 2.541
0.000 0.000 0.000
0.000 0.000 3.343
0.000 0.000 6.819
1.743 1.743 0.000
1.753 -1.753 5.081
-1.753 1.753 5.081
1.753 1.753 5.081
```

Largest 6 diffraction maxima, in order of falling intensity, 2θ = 10–80°:
Position (°2θ)  I_rel
31.05  100
36.34  47
62.11  28
52.33  17
29.30  14
51.58  13

---

7.
The following is a simulated powder diffractogram of ThIn3F8. It was derived from a PBE-relaxed structure, using Cu Kα, 1.54184 Å.
Neutral-atom scattering factors, no anomalous dispersion.

Cell and atoms:
```
ThIn3F8
1.0
6.017 0.000 0.000
0.000 6.017 0.000
0.000 0.000 6.017
Th In F
1 3 8
Cartesian
0.000 0.000 0.000
0.000 3.009 3.009
3.009 0.000 3.009
3.009 3.009 0.000
1.366 1.366 1.366
1.366 1.366 4.651
1.366 4.651 1.366
1.366 4.651 4.651
4.651 1.366 1.366
4.651 1.366 4.651
4.651 4.651 1.366
4.651 4.651 4.651
```

Largest 6 diffraction maxima, in order of falling intensity, 2θ = 10–80°:
Position (°2θ)  I_rel
25.64  100
42.49  60
50.29  47
29.69  27
67.90  19
77.75  17

---

8.
The following is a simulated powder diffractogram of Pm2Ho3Tl3. It was derived from a PBE-relaxed structure, using Cu Kα, 1.54184 Å.
Neutral-atom scattering factors, no anomalous dispersion.

Cell and atoms:
```
Pm2Ho3Tl3
1.0
-2.253 2.465 10.274
2.253 -2.465 10.274
2.253 2.465 -10.274
Pm Ho Tl
2 3 3
Cartesian
0.000 0.000 4.935
0.000 0.000 15.614
0.000 0.000 0.000
2.253 0.000 7.868
0.000 2.465 2.406
2.253 0.000 2.555
0.000 0.000 10.274
0.000 2.465 7.720
```

Largest 6 diffraction maxima, in order of falling intensity, 2θ = 10–80°:
Position (°2θ)  I_rel
32.06  100
36.45  20
34.93  19
62.85  15
40.02  14
60.85  14